This entry pairs a crystal structure of Tb12Sm5Dy2 with its calculated PXRD pattern. Radiation: Cu Kα, 1.54184 Å. Structure: a DFT-relaxed cell (GGA-PBE, Alexandria).
No peak broadening, texture or thermal motion is included.

The 12 most intense peaks (2θ = 10–90°), low angle first:
| 2theta | I_rel |
| --- | --- |
| 28.64 | 14 |
| 29.06 | 56 |
| 30.86 | 67 |
| 31.97 | 55 |
| 32.10 | 53 |
| 32.63 | 100 |
| 33.41 | 14 |
| 34.29 | 13 |
| 41.97 | 16 |
| 49.65 | 18 |
| 58.58 | 15 |
| 59.48 | 13 |

Crystal structure
Lattice parameters (Å, degrees): 6.3048 9.0438 11.0211 87.08 82.03 88.01
Positions (direct):
1 Tb 0.0044 0.1750 0.3876
2 Tb 0.1026 0.8261 0.9448
3 Tb 0.1481 0.1434 0.7508
4 Tb 0.3176 0.7050 0.3412
5 Tb 0.4257 0.3346 0.9509
6 Tb 0.4844 0.6587 0.7292
7 Tb 0.5156 0.3413 0.2708
8 Tb 0.5743 0.6654 0.0491
9 Tb 0.6824 0.2950 0.6588
10 Tb 0.8519 0.8566 0.2492
11 Tb 0.8974 0.1739 0.0552
12 Tb 0.9956 0.8250 0.6124
13 Sm 0.2249 0.4442 0.5567
14 Sm 0.3752 0.0145 0.1551
15 Sm 0.5000 0.0000 0.5000
16 Sm 0.6248 0.9855 0.8449
17 Sm 0.7751 0.5558 0.4433
18 Dy 0.0449 0.5040 0.1560
19 Dy 0.9551 0.4960 0.8440

---

This entry pairs a crystal structure of Tb12Sm5Dy with its calculated PXRD pattern. Radiation: Cu Kα, 1.54184 Å. Structure: a DFT-relaxed cell (GGA-PBE, Alexandria).
No peak broadening, texture or thermal motion is included.

The 12 most intense peaks (2θ = 10–90°), low angle first:
| 2theta | I_rel |
| --- | --- |
| 29.87 | 24 |
| 30.83 | 30 |
| 32.02 | 100 |
| 34.66 | 12 |
| 43.46 | 18 |
| 48.28 | 8 |
| 54.40 | 12 |
| 55.58 | 21 |
| 57.81 | 7 |
| 58.38 | 9 |
| 66.96 | 9 |
| 79.69 | 6 |

Crystal structure
Lattice parameters (Å, degrees): 10.3779 10.3779 5.9818 90.01 90.01 113.96
Positions (direct):
1 Tb 0.0094 0.3417 0.4497
2 Tb 0.1573 0.4910 0.9497
3 Tb 0.1769 0.1769 0.0553
4 Tb 0.3217 0.3217 0.5551
5 Tb 0.3417 0.0094 0.4497
6 Tb 0.4910 0.1573 0.9497
7 Tb 0.5090 0.8427 0.0503
8 Tb 0.6583 0.9906 0.5503
9 Tb 0.6783 0.6783 0.4449
10 Tb 0.8231 0.8231 0.9447
11 Tb 0.8427 0.5090 0.0503
12 Tb 0.9906 0.6583 0.5503
13 Sm 0.1652 0.8348 0.0000
14 Sm 0.3341 0.6659 0.5000
15 Sm 0.5000 0.5000 0.0000
16 Sm 0.6659 0.3341 0.5000
17 Sm 0.8348 0.1652 0.0000
18 Dy 0.0000 0.0000 0.5000

---

This entry pairs a crystal structure of Tb2SmDy4 with its calculated PXRD pattern. Radiation: Cu Kα, 1.54184 Å. Structure: a DFT-relaxed cell (GGA-PBE, Alexandria).
No peak broadening, texture or thermal motion is included.

The 12 most intense peaks (2θ = 10–90°), low angle first:
| 2theta | I_rel |
| --- | --- |
| 30.10 | 37 |
| 31.40 | 100 |
| 31.52 | 48 |
| 32.81 | 44 |
| 33.06 | 45 |
| 41.74 | 13 |
| 46.33 | 12 |
| 48.19 | 20 |
| 51.81 | 13 |
| 58.42 | 11 |
| 61.90 | 29 |
| 62.70 | 14 |

Crystal structure
Lattice parameters (Å, degrees): 8.5366 8.5366 8.7505 118.82 118.82 23.86
Positions (direct):
1 Tb 0.0701 0.0701 0.4296
2 Tb 0.9299 0.9299 0.5704
3 Sm 0.0000 0.0000 0.0000
4 Dy 0.2949 0.2949 0.7062
5 Dy 0.3576 0.3576 0.1633
6 Dy 0.6424 0.6424 0.8367
7 Dy 0.7051 0.7051 0.2938

---

This entry pairs a crystal structure of Tb5Sm3Dy4 with its calculated PXRD pattern. Radiation: Cu Kα, 1.54184 Å. Structure: a DFT-relaxed cell (GGA-PBE, Alexandria).
No peak broadening, texture or thermal motion is included.

The 12 most intense peaks (2θ = 10–90°), low angle first:
| 2theta | I_rel |
| --- | --- |
| 30.68 | 100 |
| 35.57 | 51 |
| 51.16 | 24 |
| 51.25 | 12 |
| 60.83 | 25 |
| 60.92 | 14 |
| 63.92 | 9 |
| 83.39 | 6 |
| 83.48 | 6 |
| 83.58 | 6 |
| 86.07 | 7 |
| 86.19 | 7 |

Crystal structure
Lattice parameters (Å, degrees): 6.1828 7.1400 8.7388 90.05 90.11 90.15
Positions (direct):
1 Tb 0.0000 0.0000 0.0000
2 Tb 0.3339 0.4999 0.3334
3 Tb 0.4992 0.7509 0.0000
4 Tb 0.5008 0.2491 0.0000
5 Tb 0.6661 0.5001 0.6666
6 Sm 0.0000 0.5000 0.0000
7 Sm 0.1665 0.2496 0.6661
8 Sm 0.8335 0.7504 0.3339
9 Dy 0.1676 0.7510 0.6665
10 Dy 0.3333 0.0000 0.3333
11 Dy 0.6667 0.0000 0.6667
12 Dy 0.8324 0.2490 0.3335

---

This entry pairs a crystal structure of Tb6SmDy6 with its calculated PXRD pattern. Radiation: Cu Kα, 1.54184 Å. Structure: a DFT-relaxed cell (GGA-PBE, Alexandria).
No peak broadening, texture or thermal motion is included.

The 12 most intense peaks (2θ = 10–90°), low angle first:
| 2theta | I_rel |
| --- | --- |
| 25.45 | 20 |
| 29.00 | 81 |
| 30.18 | 95 |
| 31.75 | 33 |
| 32.25 | 67 |
| 34.33 | 100 |
| 35.30 | 30 |
| 36.18 | 40 |
| 38.95 | 22 |
| 56.22 | 25 |
| 59.49 | 22 |
| 60.87 | 21 |

Crystal structure
Lattice parameters (Å, degrees): 6.5545 11.1023 6.5700 90.00 115.53 90.00
Positions (direct):
1 Tb 0.0000 0.1626 0.0000
2 Tb 0.0000 0.8374 0.0000
3 Tb 0.2717 0.0000 0.7380
4 Tb 0.3276 0.5000 0.6125
5 Tb 0.6724 0.5000 0.3875
6 Tb 0.7283 0.0000 0.2620
7 Sm 0.0000 0.5000 0.0000
8 Dy 0.0000 0.2668 0.5000
9 Dy 0.0000 0.7332 0.5000
10 Dy 0.5000 0.1990 0.5000
11 Dy 0.5000 0.2834 0.0000
12 Dy 0.5000 0.7166 0.0000
13 Dy 0.5000 0.8010 0.5000

---

This entry pairs a crystal structure of TbSm2Dy9 with its calculated PXRD pattern. Radiation: Cu Kα, 1.54184 Å. Structure: a DFT-relaxed cell (GGA-PBE, Alexandria).
No peak broadening, texture or thermal motion is included.

The 12 most intense peaks (2θ = 10–90°), low angle first:
| 2theta | I_rel |
| --- | --- |
| 30.11 | 25 |
| 31.51 | 55 |
| 31.83 | 100 |
| 35.42 | 15 |
| 37.82 | 14 |
| 45.40 | 19 |
| 50.24 | 11 |
| 56.51 | 20 |
| 56.70 | 18 |
| 62.59 | 29 |
| 66.51 | 11 |
| 80.81 | 14 |

Crystal structure
Lattice parameters (Å, degrees): 11.2469 11.2469 3.4947 90.00 90.00 120.00
Positions (direct):
1 Tb 0.0000 0.0000 0.0000
2 Sm 0.3333 0.6667 0.0000
3 Sm 0.6667 0.3333 0.0000
4 Dy 0.0000 0.5000 0.0000
5 Dy 0.1747 0.3493 0.5000
6 Dy 0.1747 0.8253 0.5000
7 Dy 0.3493 0.1747 0.5000
8 Dy 0.5000 0.0000 0.0000
9 Dy 0.5000 0.5000 0.0000
10 Dy 0.6507 0.8253 0.5000
11 Dy 0.8253 0.1747 0.5000
12 Dy 0.8253 0.6507 0.5000

---

This entry pairs a crystal structure of Tb2Sm5Dy2 with its calculated PXRD pattern. Radiation: Cu Kα, 1.54184 Å. Structure: a DFT-relaxed cell (GGA-PBE, Alexandria).
No peak broadening, texture or thermal motion is included.

The 12 most intense peaks (2θ = 10–90°), low angle first:
| 2theta | I_rel |
| --- | --- |
| 26.55 | 17 |
| 29.61 | 39 |
| 30.12 | 42 |
| 31.69 | 100 |
| 31.94 | 50 |
| 32.06 | 25 |
| 34.68 | 100 |
| 35.53 | 27 |
| 48.97 | 20 |
| 50.74 | 19 |
| 51.94 | 22 |
| 61.30 | 17 |

Crystal structure
Lattice parameters (Å, degrees): 3.5983 6.0566 14.4057 101.43 97.02 90.04
Positions (direct):
1 Tb 0.1054 0.0977 0.2050
2 Tb 0.8946 0.9023 0.7950
3 Sm 0.2990 0.9649 0.6002
4 Sm 0.4135 0.4255 0.8391
5 Sm 0.5000 0.0000 0.0000
6 Sm 0.5865 0.5745 0.1609
7 Sm 0.7010 0.0351 0.3998
8 Dy 0.1972 0.5348 0.3914
9 Dy 0.8028 0.4652 0.6086

---

This entry pairs a crystal structure of TbSmDy3 with its calculated PXRD pattern. Radiation: Cu Kα, 1.54184 Å. Structure: a DFT-relaxed cell (GGA-PBE, Alexandria).
No peak broadening, texture or thermal motion is included.

The 12 most intense peaks (2θ = 10–90°), low angle first:
| 2theta | I_rel |
| --- | --- |
| 28.34 | 24 |
| 31.55 | 24 |
| 32.52 | 100 |
| 42.92 | 16 |
| 50.16 | 13 |
| 50.21 | 7 |
| 56.81 | 21 |
| 60.49 | 23 |
| 61.08 | 16 |
| 79.17 | 8 |
| 82.87 | 14 |
| 87.19 | 8 |

Crystal structure
Lattice parameters (Å, degrees): 6.3018 5.6706 9.6164 90.00 109.12 90.00
Positions (direct):
1 Tb 0.1330 0.2500 0.0999
2 Tb 0.8670 0.7500 0.9001
3 Sm 0.2679 0.7500 0.7000
4 Sm 0.7321 0.2500 0.3000
5 Dy 0.0658 0.7500 0.2997
6 Dy 0.3345 0.2500 0.4993
7 Dy 0.4647 0.7500 0.0992
8 Dy 0.5353 0.2500 0.9008
9 Dy 0.6655 0.7500 0.5007
10 Dy 0.9342 0.2500 0.7003

---

This entry pairs a crystal structure of Tb5Sm2Dy6 with its calculated PXRD pattern. Radiation: Cu Kα, 1.54184 Å. Structure: a DFT-relaxed cell (GGA-PBE, Alexandria).
No peak broadening, texture or thermal motion is included.

The 12 most intense peaks (2θ = 10–90°), low angle first:
| 2theta | I_rel |
| --- | --- |
| 27.49 | 28 |
| 30.58 | 26 |
| 30.98 | 61 |
| 31.53 | 50 |
| 31.87 | 97 |
| 32.18 | 100 |
| 34.30 | 40 |
| 35.20 | 25 |
| 36.61 | 33 |
| 50.99 | 22 |
| 56.77 | 20 |
| 61.40 | 33 |

Crystal structure
Lattice parameters (Å, degrees): 11.6636 20.2644 3.5822 90.00 90.00 90.00
Positions (direct):
1 Tb 0.0000 0.0000 0.0000
2 Tb 0.0893 0.2754 0.0000
3 Tb 0.1993 0.5507 0.0000
4 Tb 0.3007 0.0507 0.0000
5 Tb 0.4107 0.7754 0.0000
6 Tb 0.5000 0.5000 0.0000
7 Tb 0.5893 0.2246 0.0000
8 Tb 0.6993 0.9493 0.0000
9 Tb 0.8007 0.4493 0.0000
10 Tb 0.9107 0.7246 0.0000
11 Sm 0.1693 0.7128 0.5000
12 Sm 0.3307 0.2128 0.5000
13 Sm 0.6693 0.7872 0.5000
14 Sm 0.8307 0.2872 0.5000
15 Dy 0.0591 0.4207 0.5000
16 Dy 0.0803 0.1325 0.5000
17 Dy 0.1763 0.8682 0.0000
18 Dy 0.3237 0.3682 0.0000
19 Dy 0.4197 0.6325 0.5000
20 Dy 0.4409 0.9207 0.5000
21 Dy 0.5591 0.0793 0.5000
22 Dy 0.5803 0.3675 0.5000
23 Dy 0.6763 0.6318 0.0000
24 Dy 0.8237 0.1318 0.0000
25 Dy 0.9197 0.8675 0.5000
26 Dy 0.9409 0.5793 0.5000

---

This entry pairs a crystal structure of Tb4Sm3Dy4 with its calculated PXRD pattern. Radiation: Cu Kα, 1.54184 Å. Structure: a DFT-relaxed cell (GGA-PBE, Alexandria).
No peak broadening, texture or thermal motion is included.

The 12 most intense peaks (2θ = 10–90°), low angle first:
| 2theta | I_rel |
| --- | --- |
| 30.71 | 29 |
| 30.88 | 16 |
| 31.43 | 37 |
| 32.10 | 100 |
| 33.86 | 16 |
| 44.64 | 12 |
| 46.87 | 13 |
| 52.85 | 11 |
| 56.37 | 20 |
| 62.21 | 14 |
| 62.80 | 13 |
| 87.58 | 7 |

Crystal structure
Lattice parameters (Å, degrees): 10.5891 6.6603 6.6603 50.61 90.00 90.00
Positions (direct):
1 Tb 0.0000 0.0000 0.0000
2 Tb 0.2115 0.7951 0.7951
3 Tb 0.5000 0.9309 0.9309
4 Tb 0.7885 0.7951 0.7951
5 Sm 0.0000 0.2964 0.2964
6 Sm 0.2942 0.4487 0.4487
7 Sm 0.7058 0.4487 0.4487
8 Dy 0.0000 0.5952 0.5952
9 Dy 0.2949 0.1442 0.1442
10 Dy 0.5000 0.6594 0.6594
11 Dy 0.7051 0.1442 0.1442

---

This entry pairs a crystal structure of Tb2Sm3Dy3 with its calculated PXRD pattern. Radiation: Cu Kα, 1.54184 Å. Structure: a DFT-relaxed cell (GGA-PBE, Alexandria).
No peak broadening, texture or thermal motion is included.

The 12 most intense peaks (2θ = 10–90°), low angle first:
| 2theta | I_rel |
| --- | --- |
| 28.31 | 24 |
| 31.27 | 24 |
| 32.43 | 100 |
| 42.68 | 16 |
| 50.12 | 20 |
| 56.38 | 21 |
| 60.21 | 8 |
| 60.30 | 15 |
| 60.93 | 11 |
| 78.74 | 7 |
| 82.77 | 7 |
| 86.51 | 6 |

Crystal structure
Lattice parameters (Å, degrees): 5.7216 14.5785 6.2972 90.00 90.05 90.00
Positions (direct):
1 Tb 0.2503 0.1247 0.1672
2 Tb 0.2503 0.3753 0.1672
3 Tb 0.7497 0.6247 0.8328
4 Tb 0.7497 0.8753 0.8328
5 Sm 0.2500 0.2500 0.6655
6 Sm 0.2499 0.6243 0.1670
7 Sm 0.2499 0.8757 0.1670
8 Sm 0.7501 0.1243 0.8330
9 Sm 0.7501 0.3757 0.8330
10 Sm 0.7500 0.7500 0.3345
11 Dy 0.2499 0.9995 0.6664
12 Dy 0.2499 0.5005 0.6664
13 Dy 0.2499 0.7500 0.6677
14 Dy 0.7501 0.0005 0.3336
15 Dy 0.7501 0.2500 0.3323
16 Dy 0.7501 0.4995 0.3336

---

This entry pairs a crystal structure of Tb3SmDy3 with its calculated PXRD pattern. Radiation: Cu Kα, 1.54184 Å. Structure: a DFT-relaxed cell (GGA-PBE, Alexandria).
No peak broadening, texture or thermal motion is included.

The 12 most intense peaks (2θ = 10–90°), low angle first:
| 2theta | I_rel |
| --- | --- |
| 28.46 | 24 |
| 31.45 | 24 |
| 32.61 | 100 |
| 42.92 | 16 |
| 50.40 | 20 |
| 56.72 | 21 |
| 60.63 | 23 |
| 61.33 | 16 |
| 79.28 | 8 |
| 83.27 | 14 |
| 87.14 | 8 |
| 89.60 | 4 |

Crystal structure
Lattice parameters (Å, degrees): 9.5800 9.5800 5.6898 90.00 90.00 120.00
Positions (direct):
1 Tb 0.0485 0.2378 0.2500
2 Tb 0.1894 0.9515 0.2500
3 Tb 0.2378 0.1894 0.7500
4 Tb 0.7622 0.8106 0.2500
5 Tb 0.8106 0.0485 0.7500
6 Tb 0.9515 0.7622 0.7500
7 Sm 0.3333 0.6667 0.2500
8 Sm 0.6667 0.3333 0.7500
9 Dy 0.0955 0.4766 0.7500
10 Dy 0.3811 0.9045 0.7500
11 Dy 0.4766 0.3811 0.2500
12 Dy 0.5234 0.6189 0.7500
13 Dy 0.6189 0.0955 0.2500
14 Dy 0.9045 0.5234 0.2500